The following is a theoretical powder diffraction line list of Np6Tl3O20. It was derived from a DFT-relaxed cell (PBE, Alexandria), using Cu Kα X-rays.
Peak positions follow from Bragg's law for the DFT cell and can differ from measured ones.

Crystal structure
```
data_Np6Tl3O20
_chemical_formula_sum 'Np24 Tl12 O80'
_space_group_name_H-M_alt 'F m -3 m'
_space_group_IT_number 225
_space_group_name_Hall '-F 4 2 3'
_cell_length_a 11.435
_cell_length_b 11.435
_cell_length_c 11.435
_cell_angle_alpha 90.00
_cell_angle_beta 90.00
_cell_angle_gamma 90.00
loop_
_atom_site_label
_atom_site_fract_x
_atom_site_fract_y
_atom_site_fract_z
Np1 0.000 0.000 0.232
Tl1 0.000 0.000 0.500
Tl2 0.250 0.250 0.250
O1 0.000 0.158 0.342
O2 0.111 0.111 0.111
```

Principal peaks in the range 2θ = 10–90°, in order of rising 2θ:
Position (°2θ)	I_rel
15.50	11.8
27.01	100.0
31.29	71.8
34.18	12.8
44.84	65.0
53.13	47.2
55.69	20.5
71.99	16.1
74.17	22.1
82.68	19.8

---

The following is a theoretical powder diffraction line list of PmSiGe. It was derived from a DFT-relaxed cell (PBE, Alexandria), using Cu Kα X-rays.
Peak positions follow from Bragg's law for the DFT cell and can differ from measured ones.

Crystal structure
```
data_PmSiGe
_chemical_formula_sum 'Pm4 Si4 Ge4'
_space_group_name_H-M_alt 'I m m m'
_space_group_IT_number 71
_space_group_name_Hall '-I 2 2'
_cell_length_a 4.070
_cell_length_b 7.829
_cell_length_c 8.177
_cell_angle_alpha 90.00
_cell_angle_beta 90.00
_cell_angle_gamma 90.00
loop_
_atom_site_label
_atom_site_fract_x
_atom_site_fract_y
_atom_site_fract_z
Pm1 0.000 0.000 0.248
Si1 0.000 0.349 0.500
Ge1 0.000 0.328 0.000
```

Principal peaks in the range 2θ = 10–90°, in order of rising 2θ:
Position (°2θ)	I_rel
22.72	14.7
24.65	23.7
31.64	56.0
33.10	100.0
41.09	43.1
44.31	17.5
44.52	17.3
51.78	13.8
55.65	22.4
62.01	25.3

---

The following is a theoretical powder diffraction line list of AcAsHIr. It was derived from a DFT-relaxed cell (PBE, Alexandria), using Cu Kα X-rays.
Peak positions follow from Bragg's law for the DFT cell and can differ from measured ones.

Crystal structure
```
data_AcAsHIr
_chemical_formula_sum 'Ac2 As2 H2 Ir2'
_space_group_name_H-M_alt 'P 63 m c'
_space_group_IT_number 186
_space_group_name_Hall 'P 6c -2c'
_cell_length_a 4.1986
_cell_length_b 4.1986
_cell_length_c 10.4073
_cell_angle_alpha 90.00
_cell_angle_beta 90.00
_cell_angle_gamma 120.00
loop_
_atom_site_label
_atom_site_fract_x
_atom_site_fract_y
_atom_site_fract_z
Ac1 0.3333 0.6667 0.0000
As1 0.3333 0.6667 0.6930
H1 0.0000 0.0000 0.4144
Ir1 0.0000 0.0000 0.2503
```

Principal peaks in the range 2θ = 10–90°, in order of rising 2θ:
Position (°2θ)	I_rel
25.96	62.5
29.98	100.0
34.47	28.8
35.77	54.8
43.09	61.6
53.38	20.6
56.31	43.5
57.21	14.4
59.00	21.6
70.93	17.9

---

The following is a theoretical powder diffraction line list of BaNpTe4Au. It was derived from a DFT-relaxed cell (PBE, Alexandria), using Cu Kα X-rays.
Peak positions follow from Bragg's law for the DFT cell and can differ from measured ones.

Crystal structure
```
data_BaNpTe4Au
_chemical_formula_sum 'Ba2 Np2 Te8 Au2'
_space_group_name_H-M_alt 'P 1 21/m 1'
_space_group_IT_number 11
_cell_length_a 7.867
_cell_length_b 6.358
_cell_length_c 9.697
_cell_angle_alpha 90.00
_cell_angle_beta 110.13
_cell_angle_gamma 90.00
loop_
_space_group_symop_operation_xyz
'x,y,z'
'-x,-y,-z'
'-x,y+1/2,-z'
'x,-y+1/2,z'
loop_
_atom_site_label
_atom_site_fract_x
_atom_site_fract_y
_atom_site_fract_z
Ba1 0.234 0.250 0.066
Np1 0.279 0.250 0.561
Te1 0.036 0.509 0.715
Te2 0.424 0.750 0.593
Te3 0.449 0.750 0.116
Au1 0.255 0.750 0.292
```

Principal peaks in the range 2θ = 10–90°, in order of rising 2θ:
Position (°2θ)	I_rel
17.01	54.2
26.29	63.2
28.07	53.2
28.99	87.5
29.87	100.0
30.61	68.7
37.11	63.2
37.32	56.3
37.80	54.7
38.97	37.5

---

The following is a theoretical powder diffraction line list of Th2ZnPPt6. It was derived from a DFT-relaxed cell (PBE, Alexandria), using Cu Kα X-rays.
Peak positions follow from Bragg's law for the DFT cell and can differ from measured ones.

Crystal structure
```
data_Th2ZnPPt6
_chemical_formula_sum 'Th4 Zn2 P2 Pt12'
_space_group_name_H-M_alt 'P m m n'
_space_group_IT_number 59
_cell_length_a 5.529
_cell_length_b 8.508
_cell_length_c 8.460
_cell_angle_alpha 90.00
_cell_angle_beta 90.00
_cell_angle_gamma 90.00
loop_
_space_group_symop_operation_xyz
'x,y,z'
'-x,-y,-z'
'-x+1/2,-y+1/2,z'
'x+1/2,y+1/2,-z'
'x+1/2,-y,-z'
'-x+1/2,y,z'
'-x,y+1/2,-z'
'x,-y+1/2,z'
loop_
_atom_site_label
_atom_site_fract_x
_atom_site_fract_y
_atom_site_fract_z
Th1 0.250 0.010 0.232
Zn1 0.250 0.750 0.784
P1 0.250 0.250 0.746
Pt1 0.000 0.250 0.969
Pt2 0.002 0.250 0.473
Pt3 0.250 0.008 0.615
```

Principal peaks in the range 2θ = 10–90°, in order of rising 2θ:
Position (°2θ)	I_rel
10.46	15.4
26.53	15.1
29.79	55.4
34.00	20.2
35.74	14.7
38.88	100.0
41.76	31.1
42.50	30.1
58.98	23.1
75.76	11.4

---

The following is a theoretical powder diffraction line list of Zr3O. It was derived from a DFT-relaxed cell (PBE, Alexandria), using Cu Kα X-rays.
Peak positions follow from Bragg's law for the DFT cell and can differ from measured ones.

Crystal structure
```
data_Zr3O
_chemical_formula_sum 'Zr36 O12'
_space_group_name_H-M_alt 'R 3 2'
_space_group_IT_number 155
_space_group_name_Hall 'R 3 2"'
_cell_length_a 5.6695
_cell_length_b 5.6695
_cell_length_c 31.4069
_cell_angle_alpha 90.00
_cell_angle_beta 90.00
_cell_angle_gamma 120.00
loop_
_atom_site_label
_atom_site_fract_x
_atom_site_fract_y
_atom_site_fract_z
Zr1 0.0000 0.3392 0.0000
Zr2 0.0000 0.3412 0.5000
Zr3 0.0012 0.6607 0.0836
O1 0.0000 0.0000 0.2084
O2 0.0000 0.0000 0.3748
```

Principal peaks in the range 2θ = 10–90°, in order of rising 2θ:
Position (°2θ)	I_rel
31.56	18.5
34.26	22.7
36.03	100.0
47.27	18.6
56.20	19.5
62.51	19.1
67.50	18.2
68.60	14.2
76.42	4.1
88.97	7.2

---

The following is a theoretical powder diffraction line list of K6Na4Tl13. It was derived from a DFT-relaxed cell (PBE, Alexandria), using Cu Kα X-rays.
Peak positions follow from Bragg's law for the DFT cell and can differ from measured ones.

Crystal structure
```
data_K6Na4Tl13
_chemical_formula_sum 'K12 Na8 Tl26'
_space_group_name_H-M_alt 'I m -3'
_space_group_IT_number 204
_space_group_name_Hall '-I 2 2 3'
_cell_length_a 11.699
_cell_length_b 11.699
_cell_length_c 11.699
_cell_angle_alpha 90.00
_cell_angle_beta 90.00
_cell_angle_gamma 90.00
loop_
_atom_site_label
_atom_site_fract_x
_atom_site_fract_y
_atom_site_fract_z
K1 0.000 0.328 0.500
Na1 0.250 0.250 0.250
Tl1 0.000 0.000 0.000
Tl2 0.000 0.143 0.244
```

Principal peaks in the range 2θ = 10–90°, in order of rising 2θ:
Position (°2θ)	I_rel
10.69	100.0
28.55	58.5
30.57	17.6
32.47	24.6
34.28	70.0
36.01	30.9
37.67	19.1
39.27	20.3
56.74	20.4
59.09	19.3

---

The following is a theoretical powder diffraction line list of Na3Cd5Ag2. It was derived from a DFT-relaxed cell (PBE, Alexandria), using Cu Kα X-rays.
Peak positions follow from Bragg's law for the DFT cell and can differ from measured ones.

Crystal structure
```
data_Na3Cd5Ag2
_chemical_formula_sum 'Na6 Cd10 Ag4'
_space_group_name_H-M_alt 'P 4/m b m'
_space_group_IT_number 127
_space_group_name_Hall '-P 4 2ab'
_cell_length_a 10.168
_cell_length_b 10.168
_cell_length_c 4.645
_cell_angle_alpha 90.00
_cell_angle_beta 90.00
_cell_angle_gamma 90.00
loop_
_atom_site_label
_atom_site_fract_x
_atom_site_fract_y
_atom_site_fract_z
Na1 0.000 0.000 0.000
Na2 0.176 0.324 0.000
Cd1 0.000 0.500 0.500
Cd2 0.070 0.794 0.500
Ag1 0.117 0.617 0.000
```

Principal peaks in the range 2θ = 10–90°, in order of rising 2θ:
Position (°2θ)	I_rel
12.31	21.1
19.11	24.8
19.52	69.2
33.91	100.0
36.43	36.2
37.30	86.3
38.77	41.1
40.45	28.0
41.46	19.5
54.26	21.8

---

The following is a theoretical powder diffraction line list of HoBiH6Ir2. It was derived from a DFT-relaxed cell (PBE, Alexandria), using Cu Kα X-rays.
Peak positions follow from Bragg's law for the DFT cell and can differ from measured ones.

Crystal structure
```
data_HoBiH6Ir2
_chemical_formula_sum 'Ho4 Bi4 H24 Ir8'
_space_group_name_H-M_alt 'C m c m'
_space_group_IT_number 63
_space_group_name_Hall '-C 2c 2'
_cell_length_a 8.144
_cell_length_b 12.490
_cell_length_c 4.515
_cell_angle_alpha 90.00
_cell_angle_beta 90.00
_cell_angle_gamma 90.00
loop_
_atom_site_label
_atom_site_fract_x
_atom_site_fract_y
_atom_site_fract_z
Ho1 0.000 0.140 0.250
Bi1 0.000 0.405 0.750
H1 0.128 0.000 0.000
H2 0.242 0.181 0.519
Ir1 0.240 0.081 0.750
```

Principal peaks in the range 2θ = 10–90°, in order of rising 2θ:
Position (°2θ)	I_rel
14.18	24.3
28.59	17.3
32.91	100.0
39.93	18.1
41.57	20.7
44.50	13.3
49.84	7.8
61.31	10.3
68.09	12.6
74.57	10.1

---

The following is a theoretical powder diffraction line list of Zn2SbPdPt5. It was derived from a DFT-relaxed cell (PBE, Alexandria), using Cu Kα X-rays.
Peak positions follow from Bragg's law for the DFT cell and can differ from measured ones.

Crystal structure
```
data_Zn2SbPdPt5
_chemical_formula_sum 'Zn8 Sb4 Pd4 Pt20'
_space_group_name_H-M_alt 'I 4/m c m'
_space_group_IT_number 140
_space_group_name_Hall '-I 4 2c'
_cell_length_a 7.400
_cell_length_b 7.400
_cell_length_c 11.099
_cell_angle_alpha 90.00
_cell_angle_beta 90.00
_cell_angle_gamma 90.00
loop_
_atom_site_label
_atom_site_fract_x
_atom_site_fract_y
_atom_site_fract_z
Zn1 0.107 0.393 0.000
Sb1 0.000 0.000 0.250
Pd1 0.000 0.500 0.250
Pt1 0.000 0.000 0.000
Pt2 0.207 0.293 0.371
```

Principal peaks in the range 2θ = 10–90°, in order of rising 2θ:
Position (°2θ)	I_rel
28.14	13.4
34.27	63.7
36.43	31.2
38.47	15.5
40.64	100.0
44.91	12.1
51.58	19.9
57.03	12.9
65.70	19.3
77.95	11.8

---

The following is a theoretical powder diffraction line list of PmTc2Os. It was derived from a DFT-relaxed cell (PBE, Alexandria), using Cu Kα X-rays.
Peak positions follow from Bragg's law for the DFT cell and can differ from measured ones.

Crystal structure
```
data_PmTc2Os
_chemical_formula_sum 'Pm4 Tc8 Os4'
_space_group_name_H-M_alt 'P n m a'
_space_group_IT_number 62
_cell_length_a 6.621
_cell_length_b 4.449
_cell_length_c 9.972
_cell_angle_alpha 90.00
_cell_angle_beta 90.00
_cell_angle_gamma 90.00
loop_
_space_group_symop_operation_xyz
'x,y,z'
'-x,-y,-z'
'-x+1/2,-y,z+1/2'
'x+1/2,y,-z+1/2'
'x+1/2,-y+1/2,-z+1/2'
'-x+1/2,y+1/2,z+1/2'
'-x,y+1/2,-z'
'x,-y+1/2,z'
loop_
_atom_site_label
_atom_site_fract_x
_atom_site_fract_y
_atom_site_fract_z
Pm1 0.236 0.250 0.174
Tc1 0.047 0.750 0.354
Tc2 0.197 0.250 0.465
Os1 0.062 0.250 0.899
```

Principal peaks in the range 2θ = 10–90°, in order of rising 2θ:
Position (°2θ)	I_rel
33.70	36.9
34.96	100.0
36.37	77.3
38.59	25.6
40.56	56.2
43.62	22.4
43.82	23.4
44.91	32.3
57.22	16.2
62.10	24.7

---

The following is a theoretical powder diffraction line list of AlGaReMo. It was derived from a DFT-relaxed cell (PBE, Alexandria), using Cu Kα X-rays.
Peak positions follow from Bragg's law for the DFT cell and can differ from measured ones.

Crystal structure
```
data_AlGaReMo
_chemical_formula_sum 'Al1 Ga1 Re1 Mo1'
_space_group_name_H-M_alt 'P 4 m m'
_space_group_IT_number 99
_cell_length_a 3.166
_cell_length_b 3.166
_cell_length_c 5.975
_cell_angle_alpha 90.00
_cell_angle_beta 90.00
_cell_angle_gamma 90.00
loop_
_space_group_symop_operation_xyz
'x,y,z'
'-y,x,z'
'-x,-y,z'
'y,-x,z'
'-x,y,z'
'y,x,z'
'x,-y,z'
'-y,-x,z'
loop_
_atom_site_label
_atom_site_fract_x
_atom_site_fract_y
_atom_site_fract_z
Al1 0.000 0.000 0.000
Ga1 0.500 0.500 0.254
Re1 0.500 0.500 0.760
Mo1 0.000 0.000 0.509
```

Principal peaks in the range 2θ = 10–90°, in order of rising 2θ:
Position (°2θ)	I_rel
14.83	36.8
28.19	16.6
31.99	24.3
40.29	54.7
41.56	100.0
43.15	10.6
58.29	18.3
62.14	7.5
74.10	35.9
76.70	16.3